Record 1
The following is a theoretical X-ray powder pattern of Sr2CeCl8. It was derived from a DFT-relaxed cell (PBE, Alexandria), using copper Kα.
Neutral-atom scattering factors, no anomalous dispersion.

Crystal structure
Cell: 15.3197 6.3453 7.6013 Å, 90.00 92.25 90.00°
Space group C2/m (No. 12)
One atom of each set of equivalent atoms:
Sr 0.1406 0.0000 0.0443
Ce 0.0000 0.0000 0.5000
Cl 0.0238 0.2520 0.7747
Cl 0.1668 0.0000 0.4316
Cl 0.1900 0.5000 0.0739

Peak list (10 most intense, 10° ≤ 2θ ≤ 80°, low angle first)
11.57 deg, I = 38, (2 0 0)
15.11 deg, I = 100, (1 1 0)
16.76 deg, I = 28, (2 0 1)
25.64 deg, I = 51, (4 0 -1)
28.16 deg, I = 42, (0 2 0)
32.92 deg, I = 27, (2 2 1)
34.20 deg, I = 24, (5 1 -1)
36.92 deg, I = 43, (0 2 2)
38.47 deg, I = 23, (2 2 -2)
47.88 deg, I = 22, (5 1 -3)

Record 2
The following is a theoretical X-ray powder pattern of Re5Si3. It was derived from a DFT-relaxed cell (PBE, Alexandria), using copper Kα.
Neutral-atom scattering factors, no anomalous dispersion.

Crystal structure
Cell: 9.4492 9.4492 4.9550 Å, 90.00 90.00 90.00°
Space group I4/mcm (No. 140)
One atom of each set of equivalent atoms:
Re 0.0000 0.5000 0.2500
Re 0.0723 0.2234 0.0000
Si 0.0000 0.0000 0.2500
Si 0.1716 0.3284 0.5000

Peak list (10 most intense, 10° ≤ 2θ ≤ 80°, low angle first)
27.75 deg, I = 48, (2 1 1)
29.90 deg, I = 41, (3 1 0)
36.26 deg, I = 28, (0 0 2)
38.87 deg, I = 75, (3 2 1)
41.14 deg, I = 31, (2 0 2)
42.80 deg, I = 50, (4 2 0)
43.51 deg, I = 100, (4 1 1)
45.59 deg, I = 69, (2 2 2)
69.33 deg, I = 33, (6 3 1)
70.25 deg, I = 24, (4 1 3)

Record 3
The following is a theoretical X-ray powder pattern of PrGa2I6. It was derived from a DFT-relaxed cell (PBE, Alexandria), using copper Kα.
Neutral-atom scattering factors, no anomalous dispersion.

Crystal structure
Cell: 14.9136 5.4757 10.5596 Å, 90.00 91.55 90.00°
Space group C2/m (No. 12)
One atom of each set of equivalent atoms:
Pr 0.0000 0.0000 0.0000
Ga 0.2342 0.5000 0.3376
I 0.0778 0.0000 0.7327
I 0.1229 0.5000 0.0655
I 0.1998 0.0000 0.3608

Peak list (10 most intense, 10° ≤ 2θ ≤ 80°, low angle first)
14.36 deg, I = 53, (2 0 -1)
14.73 deg, I = 34, (2 0 1)
24.06 deg, I = 39, (1 1 -2)
25.12 deg, I = 45, (4 0 -1)
25.31 deg, I = 46, (0 0 3)
25.80 deg, I = 100, (3 1 1)
32.71 deg, I = 57, (0 2 0)
35.82 deg, I = 36, (2 0 -4)
38.00 deg, I = 36, (5 1 -2)
42.55 deg, I = 33, (5 1 -3)

Record 4
The following is a theoretical X-ray powder pattern of Cd5Hg3H2. It was derived from a DFT-relaxed cell (PBE, Alexandria), using copper Kα.
Neutral-atom scattering factors, no anomalous dispersion.

Crystal structure
Cell: 5.9210 6.8645 11.6125 Å, 103.83 100.63 102.88°
Space group P-1 (No. 2)
One atom of each set of equivalent atoms:
Cd 0.0410 0.2968 0.0924
Cd 0.1713 0.1768 0.8482
Cd 0.2658 0.8035 0.6734
Cd 0.3285 0.8254 0.1520
Cd 0.4027 0.3665 0.6708
Hg 0.0986 0.6356 0.3288
Hg 0.2320 0.1931 0.3262
Hg 0.4602 0.7046 0.9098
H 0.1610 0.7305 0.5005
H 0.3388 0.2686 0.4979

Peak list (10 most intense, 10° ≤ 2θ ≤ 80°, low angle first)
16.24 deg, I = 33, (0 0 2)
19.63 deg, I = 22, (1 0 1)
27.89 deg, I = 100, (0 2 0)
31.36 deg, I = 23, (0 2 1)
31.66 deg, I = 28, (0 1 -4)
32.82 deg, I = 27, (0 0 4)
36.48 deg, I = 76, (0 2 2)
36.79 deg, I = 46, (2 1 -2)
37.21 deg, I = 48, (2 -1 2)
37.35 deg, I = 35, (-2 1 3)

Record 5
The following is a theoretical X-ray powder pattern of Er8Tm6Tl. It was derived from a DFT-relaxed cell (PBE, Alexandria), using copper Kα.
Neutral-atom scattering factors, no anomalous dispersion.

Crystal structure
Cell: 9.0632 9.0632 6.6523 Å, 90.00 90.00 120.00°
Space group P-3 (No. 147)
One atom of each set of equivalent atoms:
Er 0.0181 0.3339 0.3911
Er 0.3333 0.6667 0.6936
Tm 0.0800 0.6817 0.1016
Tl 0.0000 0.0000 0.0000

Peak list (10 most intense, 10° ≤ 2θ ≤ 80°, low angle first)
26.37 deg, I = 34, (0 2 1)
29.16 deg, I = 15, (0 1 2)
30.12 deg, I = 13, (2 1 0)
33.06 deg, I = 60, (2 1 1)
33.42 deg, I = 100, (2 -1 2)
34.27 deg, I = 75, (3 0 0)
48.62 deg, I = 15, (2 2 2)
52.66 deg, I = 21, (5 -2 1)
54.25 deg, I = 14, (0 4 2)
59.18 deg, I = 13, (1 1 4)

Record 6
The following is a theoretical X-ray powder pattern of Ce5RuN8. It was derived from a DFT-relaxed cell (PBE, Alexandria), using copper Kα.
Neutral-atom scattering factors, no anomalous dispersion.

Crystal structure
Cell: 7.3671 7.3671 7.4543 Å, 90.00 90.00 90.00°
Space group I-4 (No. 82)
One atom of each set of equivalent atoms:
Ce 0.0000 0.0000 0.0000
Ce 0.1547 0.2542 0.3799
Ru 0.0000 0.5000 0.7500
N 0.0456 0.2297 0.6902
N 0.0680 0.2886 0.0937

Peak list (10 most intense, 10° ≤ 2θ ≤ 80°, low angle first)
29.47 deg, I = 78, (1 1 2)
29.65 deg, I = 100, (2 1 1)
38.23 deg, I = 23, (1 0 3)
38.62 deg, I = 57, (3 0 1)
45.74 deg, I = 16, (1 2 3)
45.94 deg, I = 19, (1 3 2)
46.06 deg, I = 15, (3 2 1)
55.24 deg, I = 22, (2 0 4)
58.48 deg, I = 24, (3 2 3)
64.47 deg, I = 26, (4 3 1)

Record 7
The following is a theoretical X-ray powder pattern of Nd3Al2Zn9. It was derived from a DFT-relaxed cell (PBE, Alexandria), using copper Kα.
Neutral-atom scattering factors, no anomalous dispersion.

Crystal structure
Cell: 4.4990 8.9100 13.3754 Å, 90.00 90.00 90.00°
Space group Immm (No. 71)
One atom of each set of equivalent atoms:
Nd 0.0000 0.0000 0.0000
Nd 0.0000 0.0000 0.2898
Al 0.0000 0.1814 0.5000
Zn 0.0000 0.2834 0.1417
Zn 0.0000 0.3600 0.3459
Zn 0.0000 0.5000 0.0000

Peak list (10 most intense, 10° ≤ 2θ ≤ 80°, low angle first)
28.18 deg, I = 32, (1 0 3)
33.51 deg, I = 53, (0 2 4)
34.76 deg, I = 100, (1 2 3)
34.92 deg, I = 49, (1 1 4)
36.24 deg, I = 60, (1 3 0)
38.74 deg, I = 24, (1 3 2)
40.08 deg, I = 54, (2 0 0)
40.47 deg, I = 26, (0 0 6)
53.21 deg, I = 28, (2 2 4)
67.90 deg, I = 30, (1 4 7)

Record 8
The following is a theoretical X-ray powder pattern of BaCd4Pb2. It was derived from a DFT-relaxed cell (PBE, Alexandria), using copper Kα.
Neutral-atom scattering factors, no anomalous dispersion.

Crystal structure
Cell: 4.8130 4.7497 9.3103 Å, 90.00 104.72 90.00°
Space group P2/m (No. 10)
One atom of each set of equivalent atoms:
Ba 0.0000 0.0000 0.0000
Cd 0.1928 0.5000 0.3835
Cd 0.3008 0.0000 0.6080
Pb 0.4105 0.5000 0.8231

Peak list (10 most intense, 10° ≤ 2θ ≤ 80°, low angle first)
26.83 deg, I = 56, (1 1 0)
27.29 deg, I = 44, (0 1 2)
30.34 deg, I = 100, (1 1 -2)
35.37 deg, I = 34, (0 1 3)
36.39 deg, I = 63, (1 1 2)
36.51 deg, I = 61, (1 1 -3)
37.37 deg, I = 59, (2 0 -1)
37.88 deg, I = 57, (0 2 0)
49.74 deg, I = 27, (1 2 2)
54.27 deg, I = 40, (2 2 -1)

Record 9
The following is a theoretical X-ray powder pattern of HfZn5Au6. It was derived from a DFT-relaxed cell (PBE, Alexandria), using copper Kα.
Neutral-atom scattering factors, no anomalous dispersion.

Crystal structure
Cell: 4.6122 6.4271 7.1794 Å, 90.00 107.52 90.00°
Space group P2/m (No. 10)
One atom of each set of equivalent atoms:
Hf 0.0000 0.0000 0.0000
Zn 0.0000 0.5000 0.0000
Zn 0.3352 0.5000 0.6726
Zn 0.3395 0.0000 0.6758
Au 0.1717 0.2519 0.3437
Au 0.5000 0.2600 0.0000

Peak list (10 most intense, 10° ≤ 2θ ≤ 80°, low angle first)
27.20 deg, I = 18, (1 0 1)
27.78 deg, I = 35, (0 2 0)
39.07 deg, I = 51, (2 0 -1)
39.25 deg, I = 100, (1 2 1)
39.49 deg, I = 49, (0 0 3)
39.69 deg, I = 97, (1 2 -2)
56.10 deg, I = 17, (2 0 2)
57.38 deg, I = 33, (0 4 0)
70.62 deg, I = 18, (3 2 0)
71.53 deg, I = 34, (3 2 -3)

Record 10
The following is a theoretical X-ray powder pattern of Ce2Th5Sc2. It was derived from a DFT-relaxed cell (PBE, Alexandria), using copper Kα.
Neutral-atom scattering factors, no anomalous dispersion.

Crystal structure
Cell: 11.1152 4.8660 10.4471 Å, 90.00 109.87 90.00°
Space group C2/m (No. 12)
One atom of each set of equivalent atoms:
Ce 0.1669 0.0000 0.3914
Th 0.0000 0.5000 0.5000
Th 0.0028 0.5000 0.8367
Th 0.1713 0.0000 0.7290
Sc 0.1660 0.0000 0.0546

Peak list (10 most intense, 10° ≤ 2θ ≤ 80°, low angle first)
31.59 deg, I = 100, (3 1 0)
35.95 deg, I = 18, (4 0 -3)
36.98 deg, I = 33, (0 2 0)
52.53 deg, I = 24, (4 2 -3)
53.30 deg, I = 12, (2 2 3)
61.89 deg, I = 7, (7 1 -3)
61.93 deg, I = 7, (5 1 -6)
63.27 deg, I = 21, (3 3 0)
63.36 deg, I = 7, (1 1 6)
65.97 deg, I = 12, (6 2 0)

Record 11
The following is a theoretical X-ray powder pattern of Al2CdAs. It was derived from a DFT-relaxed cell (PBE, Alexandria), using copper Kα.
Neutral-atom scattering factors, no anomalous dispersion.

Crystal structure
Cell: 6.4323 6.4323 10.2149 Å, 90.00 90.00 90.00°
Space group I-42d (No. 122)
One atom of each set of equivalent atoms:
Al 0.2191 0.2500 0.1250
Cd 0.0000 0.0000 0.5000
As 0.0000 0.0000 0.0000

Peak list (10 most intense, 10° ≤ 2θ ≤ 80°, low angle first)
26.24 deg, I = 100, (1 1 2)
27.74 deg, I = 21, (2 0 0)
39.63 deg, I = 24, (2 2 0)
45.35 deg, I = 33, (2 0 4)
48.15 deg, I = 37, (3 1 2)
57.29 deg, I = 8, (4 0 0)
57.83 deg, I = 10, (1 1 6)
72.39 deg, I = 10, (3 1 6)
75.93 deg, I = 13, (4 2 4)
78.03 deg, I = 8, (5 1 2)

Record 12
The following is a theoretical X-ray powder pattern of TmGe7Ir3. It was derived from a DFT-relaxed cell (PBE, Alexandria), using copper Kα.
Neutral-atom scattering factors, no anomalous dispersion.

Crystal structure
Cell: 7.9034 7.9034 20.9414 Å, 90.00 90.00 120.00°
Space group R-3c (No. 167, hexagonal axes)
One atom of each set of equivalent atoms:
Tm 0.0000 0.0000 0.0000
Ge 0.0000 0.0000 0.2500
Ge 0.0131 0.2091 0.1363
Ir 0.0000 0.3203 0.2500

Peak list (10 most intense, 10° ≤ 2θ ≤ 80°, low angle first)
25.91 deg, I = 100, (1 1 3)
34.28 deg, I = 44, (1 1 6)
34.95 deg, I = 33, (2 1 1)
36.76 deg, I = 32, (0 1 8)
38.83 deg, I = 44, (2 1 4)
39.50 deg, I = 59, (3 0 0)
45.22 deg, I = 76, (1 1 9)
47.62 deg, I = 35, (0 3 6)
47.84 deg, I = 56, (2 2 3)
67.58 deg, I = 36, (3 0 12)